(1)
MgTi2Ga4O10: theoretical PXRD pattern (Cu Kα, 1.54184 Å), based on a structure optimized by DFT (PBE).

Most intense lines, 10 to 90 degrees two-theta, by intensity:
| Position (°2θ) | d (Å) | I_rel |
| --- | --- | --- |
| 23.56 | 3.776 | 1000 |
| 20.05 | 4.428 | 783 |
| 33.60 | 2.667 | 727 |
| 32.75 | 2.734 | 677 |
| 24.42 | 3.645 | 543 |
| 35.50 | 2.528 | 495 |
| 18.51 | 4.793 | 477 |
| 36.73 | 2.447 | 447 |
| 33.20 | 2.698 | 394 |
| 35.73 | 2.513 | 357 |
| 38.18 | 2.357 | 356 |
| 40.85 | 2.209 | 327 |

```
data_MgTi2Ga4O10
_symmetry_space_group_name_H-M 'P 1'
_symmetry_Int_Tables_number 1
_cell_length_a 5.4836
_cell_length_b 5.5727
_cell_length_c 7.7307
_cell_angle_alpha 73.93
_cell_angle_beta 73.10
_cell_angle_gamma 62.97
loop_
_symmetry_equiv_pos_as_xyz
'x,y,z'
loop_
_atom_site_label
_atom_site_fract_x
_atom_site_fract_y
_atom_site_fract_z
Mg1 0.0000 0.0000 0.0000
Ti1 0.9023 0.3726 0.6795
Ti2 0.9024 0.6707 0.3217
Ga1 0.2787 0.8191 0.4742
Ga2 0.4011 0.2943 0.9305
Ga3 0.5163 0.6589 0.1017
Ga4 0.5484 0.2292 0.5387
O1 0.1456 0.9154 0.2401
O2 0.1480 0.5164 0.4975
O3 0.1961 0.5622 0.0794
O4 0.2694 0.1407 0.7950
O5 0.4860 0.5076 0.6799
O6 0.5673 0.9561 0.4314
O7 0.6496 0.9426 0.0336
O8 0.6605 0.4870 0.3214
O9 0.7426 0.4046 0.9393
O10 0.9381 0.0560 0.6097
```

=====

(2)
Sr3RhF12: theoretical PXRD pattern (Cu Kα, 1.54184 Å), based on a structure optimized by DFT (PBE).

Most intense lines, 10 to 90 degrees two-theta, by intensity:
| Position (°2θ) | d (Å) | I_rel |
| --- | --- | --- |
| 13.04 | 6.787 | 1000 |
| 14.09 | 6.286 | 493 |
| 26.25 | 3.395 | 367 |
| 22.67 | 3.922 | 269 |
| 38.86 | 2.318 | 198 |
| 39.26 | 2.295 | 195 |
| 39.04 | 2.307 | 160 |
| 19.23 | 4.616 | 144 |
| 46.31 | 1.960 | 139 |
| 29.84 | 2.994 | 117 |
| 54.03 | 1.697 | 97 |
| 39.84 | 2.263 | 70 |

```
data_Sr3RhF12
_symmetry_space_group_name_H-M 'C 1 2/m 1'
_symmetry_Int_Tables_number 12
_cell_length_a 7.8346
_cell_length_b 13.5911
_cell_length_c 6.2865
_cell_angle_alpha 90.00
_cell_angle_beta 90.66
_cell_angle_gamma 90.00
loop_
_symmetry_equiv_pos_as_xyz
'x,y,z'
'-x,-y,-z'
'-x,y,-z'
'x,-y,z'
'x+1/2,y+1/2,z'
'-x+1/2,-y+1/2,-z'
'-x+1/2,y+1/2,-z'
'x+1/2,-y+1/2,z'
loop_
_atom_site_label
_atom_site_fract_x
_atom_site_fract_y
_atom_site_fract_z
Sr1 0.0000 0.0000 0.0000
Sr2 0.2500 0.2500 0.5000
Rh1 0.0000 0.0000 0.5000
F1 0.0021 0.2935 0.7090
F2 0.1481 0.0858 0.3119
F3 0.1504 0.0855 0.6897
```

=====

(3)
Y2Hf2O7: theoretical PXRD pattern (Cu Kα, 1.54184 Å), based on a structure optimized by DFT (PBE).

Most intense lines, 10 to 90 degrees two-theta, by intensity:
| Position (°2θ) | d (Å) | I_rel |
| --- | --- | --- |
| 24.62 | 3.616 | 1000 |
| 24.40 | 3.648 | 445 |
| 32.27 | 2.774 | 404 |
| 28.37 | 3.146 | 337 |
| 47.29 | 1.922 | 281 |
| 18.45 | 4.808 | 252 |
| 34.31 | 2.613 | 243 |
| 57.52 | 1.602 | 216 |
| 33.87 | 2.646 | 187 |
| 21.07 | 4.216 | 186 |
| 33.38 | 2.684 | 179 |
| 41.46 | 2.178 | 179 |

```
data_Y2Hf2O7
_symmetry_space_group_name_H-M 'C 1 2/m 1'
_symmetry_Int_Tables_number 12
_cell_length_a 6.8993
_cell_length_b 9.6153
_cell_length_c 5.5752
_cell_angle_alpha 90.00
_cell_angle_beta 100.13
_cell_angle_gamma 90.00
loop_
_symmetry_equiv_pos_as_xyz
'x,y,z'
'-x,-y,-z'
'-x,y,-z'
'x,-y,z'
'x+1/2,y+1/2,z'
'-x+1/2,-y+1/2,-z'
'-x+1/2,y+1/2,-z'
'x+1/2,-y+1/2,z'
loop_
_atom_site_label
_atom_site_fract_x
_atom_site_fract_y
_atom_site_fract_z
Y1 0.0000 0.1909 0.0000
Hf1 0.2438 0.0000 0.6026
O1 0.0000 0.5000 0.5000
O2 0.0591 0.0000 0.2730
O3 0.2312 0.3287 0.1998
```

=====

(4)
Zr2FeS4: theoretical PXRD pattern (Cu Kα, 1.54184 Å), based on a structure optimized by DFT (PBE).

Most intense lines, 10 to 90 degrees two-theta, by intensity:
| Position (°2θ) | d (Å) | I_rel |
| --- | --- | --- |
| 31.83 | 2.811 | 1000 |
| 14.77 | 5.997 | 771 |
| 41.37 | 2.182 | 658 |
| 32.02 | 2.795 | 477 |
| 49.86 | 1.829 | 367 |
| 41.52 | 2.175 | 317 |
| 54.22 | 1.692 | 270 |
| 15.85 | 5.592 | 228 |
| 49.51 | 1.841 | 191 |
| 66.54 | 1.405 | 147 |
| 60.19 | 1.538 | 144 |
| 28.04 | 3.182 | 139 |

```
data_Zr2FeS4
_symmetry_space_group_name_H-M 'C 1 m 1'
_symmetry_Int_Tables_number 8
_cell_length_a 13.5509
_cell_length_b 3.6820
_cell_length_c 6.3221
_cell_angle_alpha 90.00
_cell_angle_beta 117.73
_cell_angle_gamma 90.00
loop_
_symmetry_equiv_pos_as_xyz
'x,y,z'
'x,-y,z'
'x+1/2,y+1/2,z'
'x+1/2,-y+1/2,z'
loop_
_atom_site_label
_atom_site_fract_x
_atom_site_fract_y
_atom_site_fract_z
Zr1 0.0000 0.0000 0.0000
Zr2 0.0044 0.5000 0.4852
Fe1 0.3230 0.0000 0.9765
S1 0.1281 0.5000 0.2833
S2 0.1287 0.0000 0.7803
S3 0.3709 0.5000 0.1994
S4 0.3791 0.0000 0.6932
```

=====

(5)
BaMn2N2: theoretical PXRD pattern (Cu Kα, 1.54184 Å), based on a structure optimized by DFT (PBE).

Most intense lines, 10 to 90 degrees two-theta, by intensity:
| Position (°2θ) | d (Å) | I_rel |
| --- | --- | --- |
| 33.34 | 2.688 | 1000 |
| 40.64 | 2.220 | 364 |
| 54.33 | 1.688 | 241 |
| 26.14 | 3.410 | 174 |
| 63.13 | 1.473 | 163 |
| 50.88 | 1.795 | 145 |
| 65.26 | 1.430 | 135 |
| 69.33 | 1.355 | 132 |
| 39.65 | 2.273 | 127 |
| 89.91 | 1.091 | 116 |
| 61.26 | 1.513 | 100 |
| 70.01 | 1.344 | 71 |

```
data_BaMn2N2
_symmetry_space_group_name_H-M 'P -3 m 1'
_symmetry_Int_Tables_number 164
_symmetry_space_group_name_Hall '-P 3 2"'
_cell_length_a 3.3770
_cell_length_b 3.3770
_cell_length_c 6.8191
_cell_angle_alpha 90.00
_cell_angle_beta 90.00
_cell_angle_gamma 120.00
loop_
_atom_site_label
_atom_site_fract_x
_atom_site_fract_y
_atom_site_fract_z
Ba1 0.0000 0.0000 0.0000
Mn1 0.3333 0.6667 0.3923
N1 0.3333 0.6667 0.6752
```

=====

(6)
Sr3MgTi2O7: theoretical PXRD pattern (Cu Kα, 1.54184 Å), based on a structure optimized by DFT (PBE).

Most intense lines, 10 to 90 degrees two-theta, by intensity:
| Position (°2θ) | d (Å) | I_rel |
| --- | --- | --- |
| 32.20 | 2.780 | 1000 |
| 32.04 | 2.793 | 494 |
| 46.11 | 1.968 | 319 |
| 32.27 | 2.774 | 262 |
| 46.18 | 1.966 | 232 |
| 57.31 | 1.608 | 170 |
| 57.55 | 1.602 | 141 |
| 67.33 | 1.391 | 134 |
| 44.76 | 2.025 | 132 |
| 38.02 | 2.366 | 115 |
| 30.23 | 2.956 | 108 |
| 57.44 | 1.604 | 98 |

```
data_Sr3MgTi2O7
_symmetry_space_group_name_H-M 'P 1'
_symmetry_Int_Tables_number 1
_cell_length_a 3.9318
_cell_length_b 3.9353
_cell_length_c 11.8255
_cell_angle_alpha 89.66
_cell_angle_beta 89.60
_cell_angle_gamma 89.95
loop_
_symmetry_equiv_pos_as_xyz
'x,y,z'
loop_
_atom_site_label
_atom_site_fract_x
_atom_site_fract_y
_atom_site_fract_z
Sr1 0.0000 0.0000 0.0000
Sr2 0.0053 0.0045 0.6995
Sr3 0.4950 0.4962 0.4779
Mg1 0.4858 0.4868 0.1999
Ti1 0.5029 0.5025 0.8510
Ti2 0.9859 0.9873 0.3101
O1 0.0026 0.5018 0.8532
O2 0.0261 0.0212 0.4801
O3 0.4963 0.9871 0.2823
O4 0.4983 0.4980 0.0344
O5 0.5022 0.0021 0.8532
O6 0.5078 0.5067 0.6772
O7 0.9862 0.4958 0.2837
```

=====

(7)
MgTi2Zn4O8: theoretical PXRD pattern (Cu Kα, 1.54184 Å), based on a structure optimized by DFT (PBE).

Most intense lines, 10 to 90 degrees two-theta, by intensity:
| Position (°2θ) | d (Å) | I_rel |
| --- | --- | --- |
| 35.00 | 2.564 | 1000 |
| 34.42 | 2.606 | 913 |
| 61.42 | 1.510 | 569 |
| 33.63 | 2.665 | 451 |
| 29.58 | 3.020 | 440 |
| 42.09 | 2.147 | 433 |
| 34.28 | 2.616 | 391 |
| 54.63 | 1.680 | 357 |
| 40.43 | 2.231 | 290 |
| 58.14 | 1.587 | 255 |
| 61.72 | 1.503 | 232 |
| 44.62 | 2.031 | 184 |

```
data_MgTi2Zn4O8
_symmetry_space_group_name_H-M 'C 1 2/m 1'
_symmetry_Int_Tables_number 12
_cell_length_a 10.4911
_cell_length_b 6.0117
_cell_length_c 6.1505
_cell_angle_alpha 90.00
_cell_angle_beta 121.73
_cell_angle_gamma 90.00
loop_
_symmetry_equiv_pos_as_xyz
'x,y,z'
'-x,-y,-z'
'-x,y,-z'
'x,-y,z'
'x+1/2,y+1/2,z'
'-x+1/2,-y+1/2,-z'
'-x+1/2,y+1/2,-z'
'x+1/2,-y+1/2,z'
loop_
_atom_site_label
_atom_site_fract_x
_atom_site_fract_y
_atom_site_fract_z
Mg1 0.0000 0.0000 0.0000
Ti1 0.0000 0.5000 0.0000
Ti2 0.0000 0.5000 0.5000
Zn1 0.1627 0.0000 0.4656
Zn2 0.2500 0.2500 0.0000
O1 0.0059 0.2505 0.2479
O2 0.2195 0.5000 0.1786
O3 0.2385 0.5000 0.7406
```

=====

(8)
Na4Al2GaSi3BrO12: theoretical PXRD pattern (Cu Kα, 1.54184 Å), based on a structure optimized by DFT (PBE).

Most intense lines, 10 to 90 degrees two-theta, by intensity:
| Position (°2θ) | d (Å) | I_rel |
| --- | --- | --- |
| 24.07 | 3.698 | 1000 |
| 37.14 | 2.421 | 342 |
| 42.33 | 2.135 | 247 |
| 63.29 | 1.469 | 171 |
| 77.43 | 1.233 | 132 |
| 57.56 | 1.601 | 119 |
| 19.60 | 4.529 | 117 |
| 61.41 | 1.510 | 111 |
| 34.29 | 2.615 | 107 |
| 44.74 | 2.025 | 84 |
| 13.83 | 6.405 | 81 |
| 84.16 | 1.150 | 78 |

```
data_Na4Al2GaSi3BrO12
_symmetry_space_group_name_H-M 'C 1 c 1'
_symmetry_Int_Tables_number 9
_cell_length_a 12.8122
_cell_length_b 12.8103
_cell_length_c 9.0563
_cell_angle_alpha 90.00
_cell_angle_beta 90.00
_cell_angle_gamma 90.00
loop_
_symmetry_equiv_pos_as_xyz
'x,y,z'
'x,-y,z+1/2'
'x+1/2,y+1/2,z'
'x+1/2,-y+1/2,z+1/2'
loop_
_atom_site_label
_atom_site_fract_x
_atom_site_fract_y
_atom_site_fract_z
Na1 0.0000 0.0652 0.0000
Na2 0.0012 0.4346 0.9992
Na3 0.1847 0.2510 0.6301
Na4 0.3153 0.2502 0.1313
Al1 0.1247 0.1252 0.3152
Al2 0.2507 0.5000 0.0652
Ga1 0.3756 0.1256 0.8150
Si1 0.1275 0.3750 0.3149
Si2 0.2481 0.9997 0.0651
Si3 0.3753 0.3772 0.8154
Br1 0.0003 0.2499 0.8152
O1 0.0097 0.3972 0.2500
O2 0.1455 0.2551 0.3733
O3 0.1470 0.4534 0.4557
O4 0.1497 0.0391 0.4631
O5 0.2070 0.3957 0.1758
O6 0.2085 0.0991 0.1649
O7 0.2847 0.1030 0.6610
O8 0.2969 0.3965 0.6749
O9 0.3518 0.0371 0.9717
O10 0.3532 0.2595 0.8805
O11 0.3547 0.4567 0.9543
O12 0.4950 0.3951 0.7569
```

=====

(9)
Nd3GaO6: theoretical PXRD pattern (Cu Kα, 1.54184 Å), based on a structure optimized by DFT (PBE).

Most intense lines, 10 to 90 degrees two-theta, by intensity:
| Position (°2θ) | d (Å) | I_rel |
| --- | --- | --- |
| 29.28 | 3.050 | 1000 |
| 29.57 | 3.021 | 389 |
| 44.17 | 2.051 | 221 |
| 48.99 | 1.860 | 202 |
| 31.75 | 2.818 | 198 |
| 44.78 | 2.024 | 184 |
| 57.42 | 1.605 | 162 |
| 29.89 | 2.989 | 158 |
| 55.05 | 1.668 | 131 |
| 59.57 | 1.552 | 130 |
| 19.95 | 4.451 | 123 |
| 30.74 | 2.909 | 115 |

```
data_Nd3GaO6
_symmetry_space_group_name_H-M 'C m c 21'
_symmetry_Int_Tables_number 36
_cell_length_a 9.2799
_cell_length_b 11.6343
_cell_length_c 5.6360
_cell_angle_alpha 90.00
_cell_angle_beta 90.00
_cell_angle_gamma 90.00
loop_
_symmetry_equiv_pos_as_xyz
'x,y,z'
'-x,-y,z+1/2'
'-x,y,z'
'x,-y,z+1/2'
'x+1/2,y+1/2,z'
'-x+1/2,-y+1/2,z+1/2'
'-x+1/2,y+1/2,z'
'x+1/2,-y+1/2,z+1/2'
loop_
_atom_site_label
_atom_site_fract_x
_atom_site_fract_y
_atom_site_fract_z
Nd1 0.0000 0.1035 0.0000
Nd2 0.1934 0.3938 0.9560
Ga1 0.0000 0.3081 0.4219
O1 0.0000 0.2853 0.7495
O2 0.0000 0.4581 0.2901
O3 0.1543 0.2390 0.2538
O4 0.1593 0.0131 0.7259
```

=====

(10)
NaMg6Cd: theoretical PXRD pattern (Cu Kα, 1.54184 Å), based on a structure optimized by DFT (PBE).

Most intense lines, 10 to 90 degrees two-theta, by intensity:
| Position (°2θ) | d (Å) | I_rel |
| --- | --- | --- |
| 36.47 | 2.464 | 1000 |
| 15.90 | 5.573 | 678 |
| 23.29 | 3.819 | 563 |
| 36.63 | 2.454 | 491 |
| 34.21 | 2.621 | 386 |
| 32.06 | 2.791 | 294 |
| 62.72 | 1.481 | 214 |
| 16.91 | 5.243 | 205 |
| 47.59 | 1.911 | 188 |
| 68.53 | 1.369 | 185 |
| 57.38 | 1.606 | 163 |
| 37.93 | 2.372 | 160 |

```
data_NaMg6Cd
_symmetry_space_group_name_H-M 'A m m 2'
_symmetry_Int_Tables_number 38
_cell_length_a 5.2429
_cell_length_b 6.4584
_cell_length_c 11.1051
_cell_angle_alpha 90.00
_cell_angle_beta 90.00
_cell_angle_gamma 90.00
loop_
_symmetry_equiv_pos_as_xyz
'x,y,z'
'-x,-y,z'
'-x,y,z'
'x,-y,z'
'x,y+1/2,z+1/2'
'-x,-y+1/2,z+1/2'
'-x,y+1/2,z+1/2'
'x,-y+1/2,z+1/2'
loop_
_atom_site_label
_atom_site_fract_x
_atom_site_fract_y
_atom_site_fract_z
Na1 0.0000 0.0000 0.0000
Mg1 0.0000 0.0000 0.5017
Mg2 0.0000 0.2487 0.7506
Mg3 0.5000 0.0000 0.3343
Mg4 0.5000 0.2475 0.5845
Cd1 0.5000 0.0000 0.8333
```

=====

(11)
Sr11Ge4N6: theoretical PXRD pattern (Cu Kα, 1.54184 Å), based on a structure optimized by DFT (PBE).

Most intense lines, 10 to 90 degrees two-theta, by intensity:
| Position (°2θ) | d (Å) | I_rel |
| --- | --- | --- |
| 30.91 | 2.893 | 1000 |
| 34.63 | 2.591 | 386 |
| 28.85 | 3.095 | 273 |
| 52.45 | 1.745 | 244 |
| 33.29 | 2.692 | 203 |
| 59.76 | 1.547 | 194 |
| 28.20 | 3.165 | 153 |
| 59.54 | 1.553 | 120 |
| 48.78 | 1.867 | 107 |
| 38.19 | 2.357 | 101 |
| 39.74 | 2.268 | 91 |
| 64.41 | 1.447 | 74 |

```
data_Sr11Ge4N6
_symmetry_space_group_name_H-M 'P 4/n b m'
_symmetry_Int_Tables_number 125
_cell_length_a 7.3271
_cell_length_b 7.3271
_cell_length_c 18.8533
_cell_angle_alpha 90.00
_cell_angle_beta 90.00
_cell_angle_gamma 90.00
loop_
_symmetry_equiv_pos_as_xyz
'x,y,z'
'-x,-y,-z'
'-y+1/2,x,z'
'y+1/2,-x,-z'
'-x+1/2,-y+1/2,z'
'x+1/2,y+1/2,-z'
'y,-x+1/2,z'
'-y,x+1/2,-z'
'x,-y+1/2,-z'
'-x,y+1/2,z'
'-y+1/2,-x+1/2,-z'
'y+1/2,x+1/2,z'
'-x+1/2,y,-z'
'x+1/2,-y,z'
'y,x,-z'
'-y,-x,z'
loop_
_atom_site_label
_atom_site_fract_x
_atom_site_fract_y
_atom_site_fract_z
Sr1 0.0289 0.5289 0.1298
Sr2 0.0779 0.5779 0.5990
Sr3 0.2500 0.2500 0.0000
Sr4 0.2500 0.2500 0.2738
Ge1 0.2500 0.2500 0.5000
Ge2 0.2500 0.7500 0.0000
Ge3 0.2500 0.7500 0.2584
N1 0.1054 0.6054 0.3170
N2 0.2500 0.2500 0.1440
```